Structure and computed powder XRD pattern of HfAl3Ni (a GGA-PBE-relaxed structure; a wavelength of 1.5418 Å).
Neutral-atom scattering factors, no anomalous dispersion.

Peak list (10 most intense, 10° ≤ 2θ ≤ 80°, in order of falling intensity)
36.7°, d = 2.449 Å, intensity 100; 26.8°, d = 3.324 Å, intensity 38; 17.3°, d = 5.125 Å, intensity 30; 35.1°, d = 2.557 Å, intensity 27; 32.1°, d = 2.786 Å, intensity 25; 28.5°, d = 3.135 Å, intensity 24; 46.3°, d = 1.961 Å, intensity 17; 64.0°, d = 1.455 Å, intensity 16; 55.0°, d = 1.671 Å, intensity 13; 59.4°, d = 1.556 Å, intensity 12

Crystal structure
Cell: 7.9180 3.9216 10.2498 Å, 90.00 90.00 90.00°
Fractional positions:
Hf1 0.1796 0.2500 0.0096
Hf2 0.3204 0.7500 0.5096
Hf3 0.6796 0.2500 0.4904
Hf4 0.8204 0.7500 0.9904
Al1 0.0595 0.2500 0.5823
Al2 0.1099 0.7500 0.8005
Al3 0.1431 0.7500 0.2155
Al4 0.3569 0.2500 0.7155
Al5 0.3901 0.2500 0.3005
Al6 0.4405 0.7500 0.0823
Al7 0.5595 0.2500 0.9177
Al8 0.6099 0.7500 0.6995
Al9 0.6431 0.7500 0.2845
Al10 0.8569 0.2500 0.7845
Al11 0.8901 0.2500 0.1995
Al12 0.9405 0.7500 0.4177
Ni1 0.1057 0.2500 0.3544
Ni2 0.3943 0.7500 0.8544
Ni3 0.6057 0.2500 0.1456
Ni4 0.8943 0.7500 0.6456

---

Structure and computed powder XRD pattern of Hf2Al4O (a GGA-PBE-relaxed structure; a wavelength of 1.5418 Å).
Neutral-atom scattering factors, no anomalous dispersion.

Peak list (10 most intense, 10° ≤ 2θ ≤ 80°, in order of falling intensity)
29.0°, d = 3.081 Å, intensity 100; 31.0°, d = 2.888 Å, intensity 56; 53.9°, d = 1.702 Å, intensity 36; 44.4°, d = 2.042 Å, intensity 35; 40.4°, d = 2.232 Å, intensity 34; 33.5°, d = 2.672 Å, intensity 30; 22.7°, d = 3.923 Å, intensity 29; 50.1°, d = 1.821 Å, intensity 25; 60.1°, d = 1.540 Å, intensity 25; 38.4°, d = 2.346 Å, intensity 23

Crystal structure
Cell: 7.6069 7.6069 7.6069 Å, 148.85 148.85 44.63°
Fractional positions:
Hf1 0.1633 0.1633 0.0000
Hf2 0.8367 0.8367 0.0000
Al1 0.0000 0.5000 0.5000
Al2 0.3592 0.3592 0.0000
Al3 0.5000 0.0000 0.5000
Al4 0.6408 0.6408 0.0000
O1 0.5000 0.5000 0.0000

---

Structure and computed powder XRD pattern of HfAl2Tl2O6 (a GGA-PBE-relaxed structure; a wavelength of 1.5418 Å).
Neutral-atom scattering factors, no anomalous dispersion.

Peak list (10 most intense, 10° ≤ 2θ ≤ 80°, in order of falling intensity)
30.7°, d = 2.914 Å, intensity 100; 30.4°, d = 2.937 Å, intensity 88; 18.1°, d = 4.891 Å, intensity 53; 54.2°, d = 1.691 Å, intensity 41; 43.8°, d = 2.069 Å, intensity 32; 26.6°, d = 3.347 Å, intensity 23; 54.7°, d = 1.678 Å, intensity 20; 54.1°, d = 1.696 Å, intensity 18; 72.0°, d = 1.312 Å, intensity 18; 72.4°, d = 1.305 Å, intensity 17

Crystal structure
Cell: 6.8270 6.8270 6.8270 Å, 50.97 50.97 50.97°
Fractional positions:
Hf1 0.0000 0.0000 0.0000
Al1 0.3986 0.3986 0.3986
Al2 0.6014 0.6014 0.6014
Tl1 0.2041 0.2041 0.2041
Tl2 0.7959 0.7959 0.7959
O1 0.2355 0.2355 0.7394
O2 0.2355 0.7394 0.2355
O3 0.2606 0.7645 0.7645
O4 0.7394 0.2355 0.2355
O5 0.7645 0.2606 0.7645
O6 0.7645 0.7645 0.2606